1.
Calculated powder diffraction line list of TiHOs for Cu Kα (weighted mean of Kα1 and Kα2), from a structure optimized by DFT (PBE).

Main lines, sorted by position (10° ≤ 2θ ≤ 90°):
two_theta  I/Imax
18.33  86.1
35.69  22.7
35.82  34.6
37.65  42.1
40.53  100.0
41.84  38.6
42.18  22.4
52.56  21.5
69.90  20.1
78.61  26.4

Structural model:
Lattice parameters (Å, degrees): 2.945 4.840 4.778 90.00 90.00 90.00
Element x y z (fractional)
Ti: 0.000 0.140 0.000
Ti: 0.500 0.860 0.500
H: 0.000 0.082 0.388
H: 0.500 0.918 0.888
Os: 0.000 0.434 0.502
Os: 0.500 0.566 0.002

***

2.
Calculated powder diffraction line list of TmH4Os for Cu Kα (weighted mean of Kα1 and Kα2), from a structure optimized by DFT (PBE).

Main lines, sorted by position (10° ≤ 2θ ≤ 90°):
two_theta  I/Imax
23.79  100.0
34.92  36.2
41.40  47.0
42.70  43.1
50.22  13.8
53.47  11.3
56.30  9.6
65.47  12.3
67.05  22.9
67.99  11.1

Structural model:
Lattice parameters (Å, degrees): 4.543 4.543 4.543 111.12 111.12 106.22
Element x y z (fractional)
Tm: 0.000 0.000 0.000
H: 0.012 0.512 0.025
H: 0.012 0.988 0.500
H: 0.488 0.512 0.500
H: 0.488 0.988 0.975
Os: 0.250 0.750 0.500

***

3.
Calculated powder diffraction line list of PH2 for Cu Kα (weighted mean of Kα1 and Kα2), from a structure optimized by DFT (PBE).

Main lines, sorted by position (10° ≤ 2θ ≤ 90°):
two_theta  I/Imax
23.45  100.0
26.42  33.3
37.06  28.8
38.95  11.6
39.27  9.1
40.74  9.7
44.89  13.9
47.69  11.6
47.95  12.0
49.21  10.6

Structural model:
Lattice parameters (Å, degrees): 4.249 4.249 2.603 106.22 106.22 105.12
Element x y z (fractional)
P: 0.000 0.000 0.000
H: 0.077 0.371 0.203
H: 0.629 0.923 0.797